Simulated powder XRD pattern of La4PrH10 for Cu Ka, from a GGA-PBE-relaxed structure.
Kinematic intensities with the Lorentz-polarization factor, no thermal factor.

Top 9 peaks for 15 to 90 degrees two-theta, by angle:
2θ/deg, intensity
27.53, 100
31.89, 49
45.73, 39
54.21, 45
56.83, 13
66.66, 6
73.56, 18
75.81, 16
84.59, 13

Cell and atoms:
```
data_La4PrH10
_space_group_name_H-M_alt 'R -3 m'
_space_group_IT_number 166
_space_group_name_Hall '-R 3 2"'
_cell_length_a 3.9671
_cell_length_b 3.9671
_cell_length_c 48.6330
_cell_angle_alpha 90.00
_cell_angle_beta 90.00
_cell_angle_gamma 120.00
loop_
_atom_site_label
_atom_site_fract_x
_atom_site_fract_y
_atom_site_fract_z
La1 0.0000 0.0000 0.1005
La2 0.0000 0.0000 0.2998
Pr1 0.0000 0.0000 0.5000
H1 0.0000 0.0000 0.0504
H2 0.0000 0.0000 0.1507
H3 0.0000 0.0000 0.2497
H4 0.0000 0.0000 0.3499
H5 0.0000 0.0000 0.4507
```



Simulated powder XRD pattern of HoAg5Au6 for Cu Ka, from a GGA-PBE-relaxed structure.
Kinematic intensities with the Lorentz-polarization factor, no thermal factor.

Top 10 peaks for 15 to 90 degrees two-theta, by angle:
2θ/deg, intensity
36.97, 100
42.33, 34
44.18, 15
61.41, 11
62.81, 16
73.84, 13
73.94, 13
76.51, 12
78.65, 6
78.77, 6

Cell and atoms:
```
data_HoAg5Au6
_space_group_name_H-M_alt 'C 1 2/m 1'
_space_group_IT_number 12
_cell_length_a 9.236
_cell_length_b 12.822
_cell_length_c 4.267
_cell_angle_alpha 90.00
_cell_angle_beta 117.40
_cell_angle_gamma 90.00
loop_
_space_group_symop_operation_xyz
'x,y,z'
'-x,-y,-z'
'-x,y,-z'
'x,-y,z'
'x+1/2,y+1/2,z'
'-x+1/2,-y+1/2,-z'
'-x+1/2,y+1/2,-z'
'x+1/2,-y+1/2,z'
loop_
_atom_site_label
_atom_site_fract_x
_atom_site_fract_y
_atom_site_fract_z
Ho1 0.000 0.000 0.000
Ag1 0.000 0.172 0.500
Ag2 0.000 0.334 0.000
Ag3 0.000 0.500 0.500
Au1 0.249 0.167 0.249
Au2 0.250 0.000 0.750
```



Simulated powder XRD pattern of Pm2Si3Ir2 for Cu Ka, from a GGA-PBE-relaxed structure.
Kinematic intensities with the Lorentz-polarization factor, no thermal factor.

Top 10 peaks for 15 to 90 degrees two-theta, by angle:
2θ/deg, intensity
26.03, 36
27.43, 33
33.10, 44
33.72, 100
35.57, 84
36.74, 68
42.23, 33
43.01, 59
43.91, 62
63.15, 42

Cell and atoms:
```
data_Pm2Si3Ir2
_space_group_name_H-M_alt 'C m c m'
_space_group_IT_number 63
_space_group_name_Hall '-C 2c 2'
_cell_length_a 4.206
_cell_length_b 17.675
_cell_length_c 6.994
_cell_angle_alpha 90.00
_cell_angle_beta 90.00
_cell_angle_gamma 90.00
loop_
_atom_site_label
_atom_site_fract_x
_atom_site_fract_y
_atom_site_fract_z
Pm1 0.000 0.057 0.250
Pm2 0.000 0.154 0.750
Si1 0.000 0.226 0.250
Si2 0.000 0.438 0.070
Ir1 0.000 0.308 0.550
```



Simulated powder XRD pattern of LiCd3Sn for Cu Ka, from a GGA-PBE-relaxed structure.
Kinematic intensities with the Lorentz-polarization factor, no thermal factor.

Top 10 peaks for 15 to 90 degrees two-theta, by angle:
2θ/deg, intensity
24.83, 25
26.29, 58
28.75, 51
32.76, 92
37.78, 100
38.69, 77
39.16, 25
39.57, 87
59.60, 31
68.55, 22

Cell and atoms:
```
data_LiCd3Sn
_space_group_name_H-M_alt 'P 1'
_space_group_IT_number 1
_cell_length_a 4.723
_cell_length_b 7.346
_cell_length_c 7.349
_cell_angle_alpha 69.17
_cell_angle_beta 81.74
_cell_angle_gamma 81.74
loop_
_space_group_symop_operation_xyz
'x,y,z'
loop_
_atom_site_label
_atom_site_fract_x
_atom_site_fract_y
_atom_site_fract_z
Li1 0.000 0.000 0.000
Li2 0.431 0.773 0.774
Cd1 0.504 0.819 0.160
Cd2 0.505 0.160 0.818
Cd3 0.511 0.534 0.534
Cd4 0.611 0.218 0.217
Cd5 0.955 0.454 0.820
Cd6 0.955 0.821 0.454
Sn1 0.063 0.540 0.169
Sn2 0.064 0.170 0.539
```



What did the first record say?
Simulated powder XRD pattern of La4PrH10 for Cu Ka, from a GGA-PBE-relaxed structure.
Kinematic intensities with the Lorentz-polarization factor, no thermal factor.

Top 9 peaks for 15 to 90 degrees two-theta, by angle:
2θ/deg, intensity
27.53, 100
31.89, 49
45.73, 39
54.21, 45
56.83, 13
66.66, 6
73.56, 18
75.81, 16
84.59, 13

Cell and atoms:
```
data_La4PrH10
_space_group_name_H-M_alt 'R -3 m'
_space_group_IT_number 166
_space_group_name_Hall '-R 3 2"'
_cell_length_a 3.9671
_cell_length_b 3.9671
_cell_length_c 48.6330
_cell_angle_alpha 90.00
_cell_angle_beta 90.00
_cell_angle_gamma 120.00
loop_
_atom_site_label
_atom_site_fract_x
_atom_site_fract_y
_atom_site_fract_z
La1 0.0000 0.0000 0.1005
La2 0.0000 0.0000 0.2998
Pr1 0.0000 0.0000 0.5000
H1 0.0000 0.0000 0.0504
H2 0.0000 0.0000 0.1507
H3 0.0000 0.0000 0.2497
H4 0.0000 0.0000 0.3499
H5 0.0000 0.0000 0.4507
```